[1]
# NaBeSeO4
Computed X-ray powder pattern, Cu Kα (λ = 1.5418 Å). Input: DFT lattice parameters and positions (PBE).
Intensities are scaled so that the largest is 100.

Most intense lines, 10° ≤ 2θ ≤ 90°, low angle first:
d [Å]	I_rel
4.161	100
3.634	28
3.589	58
2.554	79
2.081	31
1.468	22

Structural model:
```
data_NaBeSeO4
_chemical_formula_sum 'Na2 Be2 Se2 O8'
_symmetry_space_group_name_H-M 'I -4'
_symmetry_Int_Tables_number 82
_cell_length_a 5.076
_cell_length_b 5.076
_cell_length_c 7.268
_cell_angle_alpha 90.00
_cell_angle_beta 90.00
_cell_angle_gamma 90.00
loop_
_symmetry_equiv_pos_as_xyz
'x,y,z'
'y,-x,-z'
'-x,-y,z'
'-y,x,-z'
'x+1/2,y+1/2,z+1/2'
'y+1/2,-x+1/2,-z+1/2'
'-x+1/2,-y+1/2,z+1/2'
'-y+1/2,x+1/2,-z+1/2'
loop_
_atom_site_label
_atom_site_type_symbol
_atom_site_fract_x
_atom_site_fract_y
_atom_site_fract_z
Na1 Na 0.000 0.000 0.000
Be1 Be 0.000 0.500 0.750
Se1 Se 0.000 0.000 0.500
O1 O 0.148 0.264 0.633
```



[2]
# NaBeSi3O8
Computed X-ray powder pattern, Cu Kα (λ = 1.5418 Å). Input: DFT lattice parameters and positions (PBE).
Intensities are scaled so that the largest is 100.

Most intense lines, 10° ≤ 2θ ≤ 90°, low angle first:
d [Å]	I_rel
4.313	41
4.015	42
3.645	100
3.332	33
2.875	29
2.685	15

Structural model:
```
data_NaBeSi3O8
_chemical_formula_sum 'Na8 Be8 Si24 O64'
_symmetry_space_group_name_H-M 'C 1 2/c 1'
_symmetry_Int_Tables_number 15
_cell_length_a 13.544
_cell_length_b 6.661
_cell_length_c 15.177
_cell_angle_alpha 90.00
_cell_angle_beta 105.81
_cell_angle_gamma 90.00
loop_
_symmetry_equiv_pos_as_xyz
'x,y,z'
'-x,-y,-z'
'-x,y,-z+1/2'
'x,-y,z+1/2'
'x+1/2,y+1/2,z'
'-x+1/2,-y+1/2,-z'
'-x+1/2,y+1/2,-z+1/2'
'x+1/2,-y+1/2,z+1/2'
loop_
_atom_site_label
_atom_site_type_symbol
_atom_site_fract_x
_atom_site_fract_y
_atom_site_fract_z
Na1 Na 0.096 0.035 0.131
Be1 Be 0.215 0.384 0.258
Si1 Si 0.009 0.445 0.107
Si2 Si 0.155 0.273 0.848
Si3 Si 0.173 0.143 0.412
O1 O 0.000 0.500 0.000
O2 O 0.044 0.371 0.850
O3 O 0.056 0.227 0.402
O4 O 0.122 0.398 0.167
O5 O 0.165 0.139 0.759
O6 O 0.174 0.101 0.931
O7 O 0.203 0.184 0.317
O8 O 0.232 0.457 0.845
O9 O 0.250 0.250 0.500
```



[3]
# Na2BeSiO4
Computed X-ray powder pattern, Cu Kα (λ = 1.5418 Å). Input: DFT lattice parameters and positions (PBE).
Intensities are scaled so that the largest is 100.

Most intense lines, 10° ≤ 2θ ≤ 90°, low angle first:
d [Å]	I_rel
4.093	19
2.894	17
2.781	28
2.507	100
2.363	21
1.773	19

Structural model:
```
data_Na2BeSiO4
_chemical_formula_sum 'Na8 Be4 Si4 O16'
_symmetry_space_group_name_H-M 'P 1 21/c 1'
_symmetry_Int_Tables_number 14
_cell_length_a 7.089
_cell_length_b 5.013
_cell_length_c 10.030
_cell_angle_alpha 90.00
_cell_angle_beta 90.10
_cell_angle_gamma 90.00
loop_
_symmetry_equiv_pos_as_xyz
'x,y,z'
'-x,-y,-z'
'-x,y+1/2,-z+1/2'
'x,-y+1/2,z+1/2'
loop_
_atom_site_label
_atom_site_type_symbol
_atom_site_fract_x
_atom_site_fract_y
_atom_site_fract_z
Na1 Na 0.002 0.208 0.390
Na2 Na 0.265 0.681 0.359
Be1 Be 0.499 0.658 0.088
Si1 Si 0.279 0.156 0.157
O1 O 0.061 0.234 0.125
O2 O 0.316 0.661 0.620
O3 O 0.319 0.206 0.318
O4 O 0.437 0.165 0.574
```



[4]
# NaBe4Te3O12
Computed X-ray powder pattern, Cu Kα (λ = 1.5418 Å). Input: DFT lattice parameters and positions (PBE).
Intensities are scaled so that the largest is 100.

Most intense lines, 10° ≤ 2θ ≤ 90°, low angle first:
d [Å]	I_rel
5.997	31
5.124	66
3.896	100
3.101	35
2.999	91
2.106	53

Structural model:
```
data_NaBe4Te3O12
_chemical_formula_sum 'Na3 Be12 Te9 O36'
_symmetry_space_group_name_H-M 'R 3 2'
_symmetry_Int_Tables_number 155
_symmetry_space_group_name_Hall 'R 3 2"'
_cell_length_a 10.2478
_cell_length_b 10.2478
_cell_length_c 8.1366
_cell_angle_alpha 90.00
_cell_angle_beta 90.00
_cell_angle_gamma 120.00
loop_
_atom_site_label
_atom_site_type_symbol
_atom_site_fract_x
_atom_site_fract_y
_atom_site_fract_z
Na1 Na 0.0000 0.0000 0.0000
Be1 Be 0.0000 0.0000 0.5000
Be2 Be 0.0000 0.4450 0.5000
Te1 Te 0.0000 0.5456 0.0000
O1 O 0.0000 0.5993 0.5000
O2 O 0.0000 0.8479 0.5000
O3 O 0.0319 0.2137 0.2009
```



Please write out number 1 again, unchanged.
# NaBeSeO4
Computed X-ray powder pattern, Cu Kα (λ = 1.5418 Å). Input: DFT lattice parameters and positions (PBE).
Intensities are scaled so that the largest is 100.

Most intense lines, 10° ≤ 2θ ≤ 90°, low angle first:
d [Å]	I_rel
4.161	100
3.634	28
3.589	58
2.554	79
2.081	31
1.468	22

Structural model:
```
data_NaBeSeO4
_chemical_formula_sum 'Na2 Be2 Se2 O8'
_symmetry_space_group_name_H-M 'I -4'
_symmetry_Int_Tables_number 82
_cell_length_a 5.076
_cell_length_b 5.076
_cell_length_c 7.268
_cell_angle_alpha 90.00
_cell_angle_beta 90.00
_cell_angle_gamma 90.00
loop_
_symmetry_equiv_pos_as_xyz
'x,y,z'
'y,-x,-z'
'-x,-y,z'
'-y,x,-z'
'x+1/2,y+1/2,z+1/2'
'y+1/2,-x+1/2,-z+1/2'
'-x+1/2,-y+1/2,z+1/2'
'-y+1/2,x+1/2,-z+1/2'
loop_
_atom_site_label
_atom_site_type_symbol
_atom_site_fract_x
_atom_site_fract_y
_atom_site_fract_z
Na1 Na 0.000 0.000 0.000
Be1 Be 0.000 0.500 0.750
Se1 Se 0.000 0.000 0.500
O1 O 0.148 0.264 0.633
```



> Which formula does entry 1 have?

NaBeSeO4